Computed X-ray powder pattern
Compound: DyCd2Hg6
Radiation: Cu Kα, 1.54184 Å
Structure: a structure optimized by DFT (PBE)
Peak positions follow from Bragg's law for the DFT cell and can differ from measured ones.

abc: 5.143 5.143 9.625
angles: 90.05 90.05 60.00
Element x y z (fractional)
Dy1 0.000 0.000 0.000
Cd1 0.334 0.334 0.187
Cd2 0.666 0.666 0.813
Hg1 0.000 0.000 0.329
Hg2 0.000 0.000 0.671
Hg3 0.333 0.333 0.525
Hg4 0.333 0.333 0.863
Hg5 0.667 0.667 0.137
Hg6 0.667 0.667 0.475

Top 8 peaks for 2θ = 5–70°, sorted by position:
| 2theta | I/Imax |
| --- | --- |
| 34.45 | 98 |
| 34.89 | 100 |
| 45.19 | 5 |
| 49.84 | 35 |
| 61.43 | 10 |
| 62.28 | 36 |
| 62.56 | 19 |
| 69.00 | 14 |



Computed X-ray powder pattern
Compound: Pm2Sb3H2Rh5
Radiation: Cu Kα, 1.54184 Å
Structure: a structure optimized by DFT (PBE)
Peak positions follow from Bragg's law for the DFT cell and can differ from measured ones.

abc: 11.801 11.801 11.801
angles: 159.46 159.46 29.20
Element x y z (fractional)
Pm1 0.194 0.194 0.000
Pm2 0.806 0.806 0.000
Sb1 0.337 0.337 0.000
Sb2 0.500 0.500 0.000
Sb3 0.663 0.663 0.000
H1 0.080 0.080 0.000
H2 0.920 0.920 0.000
Rh1 0.000 0.000 0.000
Rh2 0.085 0.585 0.500
Rh3 0.415 0.915 0.500
Rh4 0.585 0.085 0.500
Rh5 0.915 0.415 0.500

Top 8 peaks for 2θ = 5–70°, sorted by position:
| 2theta | I/Imax |
| --- | --- |
| 7.74 | 10 |
| 30.04 | 11 |
| 31.07 | 16 |
| 33.98 | 17 |
| 34.80 | 16 |
| 38.40 | 100 |
| 43.00 | 48 |
| 62.44 | 16 |



Computed X-ray powder pattern
Compound: SiSe2F5
Radiation: Cu Kα, 1.54184 Å
Structure: a structure optimized by DFT (PBE)
Peak positions follow from Bragg's law for the DFT cell and can differ from measured ones.

abc: 3.570 5.675 6.929
angles: 93.78 103.02 92.35
Element x y z (fractional)
Si1 0.000 0.000 0.000
Se1 0.303 0.540 0.614
Se2 0.697 0.460 0.386
F1 0.069 0.278 0.117
F2 0.089 0.885 0.219
F3 0.500 0.000 0.000
F4 0.911 0.115 0.781
F5 0.931 0.722 0.883

Top 8 peaks for 2θ = 5–70°, sorted by position:
| 2theta | I/Imax |
| --- | --- |
| 15.67 | 27 |
| 19.71 | 100 |
| 21.29 | 44 |
| 31.62 | 37 |
| 32.54 | 16 |
| 33.42 | 23 |
| 36.58 | 33 |
| 51.27 | 18 |



Computed X-ray powder pattern
Compound: BaU3S8
Radiation: Cu Kα, 1.54184 Å
Structure: a structure optimized by DFT (PBE)
Peak positions follow from Bragg's law for the DFT cell and can differ from measured ones.

abc: 8.885 8.885 8.885
angles: 53.43 53.43 53.43
Element x y z (fractional)
Ba1 0.000 0.000 0.000
U1 0.000 0.000 0.500
U2 0.000 0.500 0.000
U3 0.500 0.000 0.000
S1 0.201 0.742 0.742
S2 0.228 0.228 0.228
S3 0.258 0.258 0.799
S4 0.258 0.799 0.258
S5 0.742 0.201 0.742
S6 0.742 0.742 0.201
S7 0.772 0.772 0.772
S8 0.799 0.258 0.258

Top 8 peaks for 2θ = 5–70°, sorted by position:
| 2theta | I/Imax |
| --- | --- |
| 11.65 | 100 |
| 13.38 | 75 |
| 23.40 | 34 |
| 25.19 | 30 |
| 26.06 | 28 |
| 26.94 | 30 |
| 30.23 | 82 |
| 41.06 | 29 |



Computed X-ray powder pattern
Compound: CsPtRhS2
Radiation: Cu Kα, 1.54184 Å
Structure: a structure optimized by DFT (PBE)
Peak positions follow from Bragg's law for the DFT cell and can differ from measured ones.

abc: 7.039 7.039 7.307
angles: 90.00 90.00 134.33
Element x y z (fractional)
Cs1 0.250 0.750 0.759
Cs2 0.750 0.250 0.241
Pt1 0.000 0.000 0.000
Pt2 0.500 0.500 0.000
Rh1 0.250 0.250 0.500
Rh2 0.750 0.750 0.500
S1 0.077 0.923 0.281
S2 0.423 0.577 0.281
S3 0.577 0.423 0.719
S4 0.923 0.077 0.719

Top 8 peaks for 2θ = 5–70°, sorted by position:
| 2theta | I/Imax |
| --- | --- |
| 13.65 | 78 |
| 27.50 | 56 |
| 28.03 | 100 |
| 29.03 | 46 |
| 35.07 | 31 |
| 37.79 | 48 |
| 45.13 | 34 |
| 48.95 | 33 |



Computed X-ray powder pattern
Compound: TlCd6In2
Radiation: Cu Kα, 1.54184 Å
Structure: a structure optimized by DFT (PBE)
Peak positions follow from Bragg's law for the DFT cell and can differ from measured ones.

abc: 7.439 7.439 4.398
angles: 95.56 95.56 83.41
Element x y z (fractional)
Tl1 0.000 0.000 0.000
Cd1 0.083 0.391 0.243
Cd2 0.243 0.757 0.500
Cd3 0.391 0.083 0.243
Cd4 0.609 0.917 0.757
Cd5 0.757 0.243 0.500
Cd6 0.917 0.609 0.757
In1 0.381 0.381 0.792
In2 0.619 0.619 0.208

Top 8 peaks for 2θ = 5–70°, sorted by position:
| 2theta | I/Imax |
| --- | --- |
| 27.25 | 76 |
| 30.39 | 100 |
| 32.52 | 41 |
| 35.12 | 71 |
| 35.70 | 98 |
| 39.94 | 71 |
| 42.56 | 48 |
| 44.56 | 32 |